(1)
Diffraction record for Pr2Tl3Ag. The powder X-ray diffraction pattern is computed, not measured: it uses a structure optimized by DFT (PBE) and a wavelength of 1.5418 Å.

Peak list (12 most intense, 2θ from 10° to 80°, sorted by position)
(2 0 0), 23.72°, intensity 15; (2 0 4), 31.39°, intensity 100; (0 4 0), 35.46°, intensity 87; (2 4 0), 43.11°, intensity 18; (2 4 4), 48.07°, intensity 30; (4 0 0), 48.55°, intensity 12; (2 2 10), 61.14°, intensity 29; (4 4 0), 61.54°, intensity 35; (0 0 12), 63.67°, intensity 16; (2 0 12), 68.96°, intensity 4; (0 4 12), 75.05°, intensity 10; (6 0 4), 79.76°, intensity 7

Atomic structure:
Unit cell a=7.5014 b=10.1180 c=17.5514 alpha=90.00 beta=90.00 gamma=90.00
Space group Fmmm (No. 69)
Unique sites:
Pr (0.2481, 0.0000, 0.0000) (multiplicity 8)
Pr (0.2500, 0.2500, 0.2500) (multiplicity 8)
Tl (0.0000, 0.0000, 0.3292) (multiplicity 8)
Tl (0.0000, 0.2428, 0.0860) (multiplicity 16)
Ag (0.0000, 0.0000, 0.1676) (multiplicity 8)

***

(2)
Diffraction record for Dy2Ga4Pt3. The powder X-ray diffraction pattern is computed, not measured: it uses a structure optimized by DFT (PBE) and a wavelength of 1.5418 Å.

Peak list (12 most intense, 2θ from 10° to 80°, sorted by position)
(0 0 2), 13.80°, intensity 100; (1 1 3), 28.05°, intensity 35; (0 4 0), 37.55°, intensity 30; (2 2 0), 37.84°, intensity 56; (1 3 3), 38.84°, intensity 99; (1 1 5), 39.91°, intensity 40; (0 4 2), 40.18°, intensity 35; (2 2 2), 40.46°, intensity 70; (0 0 6), 42.24°, intensity 30; (2 0 4), 43.44°, intensity 30; (2 6 0), 67.96°, intensity 29; (2 2 8), 70.85°, intensity 31

Atomic structure:
Unit cell a=5.4775 b=9.5811 c=12.8358 alpha=90.00 beta=90.00 gamma=90.00
Space group Fmmm (No. 69)
Unique sites:
Dy (0.0000, 0.0000, 0.1270) (multiplicity 8)
Ga (0.0000, 0.1682, 0.3328) (multiplicity 16)
Pt (0.0000, 0.0000, 0.5000) (multiplicity 4)
Pt (0.2500, 0.2500, 0.0000) (multiplicity 8)